Structure and computed X-ray powder pattern of Ba4Sr2Gd2Co4O15 (a cell relaxed with PBE+U; Cu Ka).
Lines closer than 0.1° are merged.

Largest 6 diffraction maxima, sorted by position, 10° ≤ 2θ ≤ 90°:
h k l  2θ (°)  I (rel.)
0 2 2  30.40  67.0
0 2 -4  30.51  100.0
2 -2 0  31.16  14.4
2 0 2  31.62  25.8
2 0 3  37.51  19.7
0 0 6  54.09  15.9

```
data_Ba4Sr2Gd2Co4O15
_chemical_formula_sum 'Ba8 Sr4 Gd4 Co8 O30'
_cell_length_a 6.862
_cell_length_b 11.715
_cell_length_c 11.724
_cell_angle_alpha 119.75
_cell_angle_beta 90.15
_cell_angle_gamma 90.92
_symmetry_space_group_name_H-M 'P 1'
_symmetry_Int_Tables_number 1
_symmetry_space_group_name_Hall 'P 1'
loop_
_atom_site_label
_atom_site_type_symbol
_atom_site_fract_x
_atom_site_fract_y
_atom_site_fract_z
Ba1 Ba 0.000 0.000 0.000
Ba2 Ba 0.002 0.007 0.485
Ba3 Ba 0.316 0.842 0.164
Ba4 Ba 0.488 0.356 0.179
Ba5 Ba 0.493 0.351 0.651
Ba6 Ba 0.505 0.831 0.657
Ba7 Ba 0.808 0.511 0.494
Ba8 Ba 0.992 0.527 0.006
Sr1 Sr 0.159 0.229 0.354
Sr2 Sr 0.303 0.176 0.829
Sr3 Sr 0.663 0.702 0.877
Sr4 Sr 0.803 0.182 0.831
Gd1 Gd 0.164 0.655 0.782
Gd2 Gd 0.165 0.655 0.354
Gd3 Gd 0.657 0.130 0.305
Gd4 Gd 0.669 0.701 0.308
Co1 Co 0.337 0.513 0.495
Co2 Co 0.482 0.531 0.004
Co3 Co 0.489 0.001 0.005
Co4 Co 0.493 0.001 0.479
Co5 Co 0.853 0.844 0.164
Co6 Co 0.980 0.352 0.182
Co7 Co 0.988 0.355 0.651
Co8 Co 0.999 0.823 0.650
O1 O 0.004 0.760 0.998
O2 O 0.040 0.999 0.742
O3 O 0.071 0.281 0.017
O4 O 0.074 0.258 0.723
O5 O 0.162 0.439 0.330
O6 O 0.164 0.676 0.574
O7 O 0.165 0.437 0.584
O8 O 0.347 0.572 0.895
O9 O 0.351 0.845 0.889
O10 O 0.361 0.583 0.171
O11 O 0.365 0.843 0.439
O12 O 0.371 0.116 0.160
O13 O 0.380 0.111 0.425
O14 O 0.482 0.595 0.655
O15 O 0.490 0.598 0.416
O16 O 0.491 0.356 0.417
O17 O 0.558 0.094 0.652
O18 O 0.565 0.079 0.910
O19 O 0.568 0.365 0.932
O20 O 0.661 0.934 0.085
O21 O 0.664 0.680 0.090
O22 O 0.667 0.924 0.335
O23 O 0.840 0.244 0.223
O24 O 0.841 0.242 0.495
O25 O 0.854 0.516 0.232
O26 O 0.867 0.506 0.765
O27 O 0.875 0.784 0.492
O28 O 0.898 0.781 0.769
O29 O 0.978 0.009 0.247
O30 O 0.997 0.757 0.248
```